The following is a theoretical PXRD pattern of CaTiVP3O12. It was derived from a crystal structure in Alexandria, relaxed with GGA+U, using a wavelength of 1.5418 Å.
Lines closer than 0.1° are merged.

Largest 10 diffraction maxima, in order of rising 2θ, 10° ≤ 2θ ≤ 80°:
20.48°, I = 49, (1 1 0); 23.86°, I = 100, (1 1 3); 28.81°, I = 13, (0 2 4); 31.79°, I = 15, (2 1 1); 32.02°, I = 58, (1 1 6); 35.87°, I = 23, (3 0 0); 46.02°, I = 18, (1 2 8); 48.84°, I = 21, (2 2 6); 56.12°, I = 16, (4 1 0); 62.06°, I = 12, (4 1 6)

Structure:
```
data_CaTiVP3O12
_space_group_name_H-M_alt 'R 3 c'
_space_group_IT_number 161
_space_group_name_Hall 'R 3 -2"c'
_cell_length_a 8.6716
_cell_length_b 8.6716
_cell_length_c 21.9387
_cell_angle_alpha 90.00
_cell_angle_beta 90.00
_cell_angle_gamma 120.00
loop_
_atom_site_label
_atom_site_type_symbol
_atom_site_fract_x
_atom_site_fract_y
_atom_site_fract_z
Ca1 Ca 0.0000 0.0000 0.0000
Ti1 Ti 0.0000 0.0000 0.3508
V1 V 0.0000 0.0000 0.1436
P1 P 0.0445 0.3752 0.4142
O1 O 0.0098 0.1995 0.6897
O2 O 0.0298 0.1887 0.4152
O3 O 0.1532 0.4734 0.4726
O4 O 0.1616 0.4779 0.7491
```